LaWSe2: theoretical powder diffraction line list (Cu Kα X-rays), based on a crystal structure in Alexandria, relaxed with PBE.
Peak positions follow from Bragg's law for the DFT cell and can differ from measured ones.

Main lines, low angle first (10 to 90 degrees two-theta):
2.869 Å, I 97, hkl 1 1 0; 2.858 Å, I 99, hkl 1 1 -1; 2.525 Å, I 83, hkl 1 0 1; 2.516 Å, I 58, hkl 0 0 2; 2.503 Å, I 81, hkl 1 0 -2; 2.418 Å, I 100, hkl 0 2 0; 2.232 Å, I 63, hkl 0 1 2; 1.747 Å, I 55, hkl 1 2 1

Cell and atoms:
Lattice parameters (Å, degrees): 3.7978 4.8370 5.3618 90.00 110.23 90.00
Atoms (fractional coordinates):
La1 0.0000 0.0000 0.0000
W1 0.3136 0.5000 0.6268
Se1 0.2891 0.0000 0.5679
Se2 0.5811 0.5000 0.1642